The following is a computed X-ray powder pattern of SmAl2Ag2. It was derived from a DFT-relaxed cell (GGA-PBE, Alexandria), using Cu Kα (weighted mean of Kα1 and Kα2).
Peak positions follow from Bragg's law for the DFT cell and can differ from measured ones.

Structural model:
```
SmAl2Ag2
1.0
-2.203 2.203 5.344
2.203 -2.203 5.344
2.203 2.203 -5.344
Sm Al Ag
1 2 2
Direct
0.000 0.000 0.000 Sm
0.382 0.382 0.000 Al
0.618 0.618 0.000 Al
0.250 0.750 0.500 Ag
0.750 0.250 0.500 Ag
```

Principal peaks in the range 2θ = 15–90°, low angle first:
| 2θ (°) | d [Å] | intensity |
| --- | --- | --- |
| 21.82 | 4.073 | 23 |
| 32.32 | 2.770 | 25 |
| 33.29 | 2.691 | 100 |
| 33.54 | 2.672 | 18 |
| 40.97 | 2.203 | 36 |
| 53.95 | 1.700 | 18 |
| 59.80 | 1.546 | 16 |
| 69.76 | 1.348 | 22 |